Starting from a crystal structure in Alexandria, relaxed with PBE, the powder diffractogram of TmMgB12 was computed for Cu Kα (weighted mean of Kα1 and Kα2).
Lines closer than 0.1° are merged.

The 10 most intense peaks (2θ from 10° to 90°), in order of rising 2θ:
2θ/deg  Rel. int.  hkl
10.77  88  0 0 1
21.70  46  1 0 0
24.31  57  1 0 1
30.87  100  1 1 0
32.83  27  1 1 1
38.05  44  1 1 2
39.61  16  1 0 3
45.67  22  1 1 3
49.83  32  2 1 0
68.72  19  2 1 4

Structure:
Unit cell a=4.0904 b=4.0904 c=8.2150 alpha=90.00 beta=90.00 gamma=90.00
Fractional coordinates of all 14 atoms:
Tm 0.0000 0.0000 0.0000
Mg 0.0000 0.0000 0.5000
B 0.1995 0.5000 0.2488
B 0.1995 0.5000 0.7512
B 0.5000 0.1995 0.2488
B 0.5000 0.1995 0.7512
B 0.5000 0.5000 0.0990
B 0.5000 0.5000 0.3996
B 0.5000 0.5000 0.6004
B 0.5000 0.5000 0.9010
B 0.5000 0.8005 0.2488
B 0.5000 0.8005 0.7512
B 0.8005 0.5000 0.2488
B 0.8005 0.5000 0.7512